# Te2WIO
Computed X-ray diffraction stick pattern, CuKα. Input: a structure optimized by DFT (GGA+U).

The 10 most intense peaks (15° ≤ 2θ ≤ 90°), sorted by position:
25.90 deg, 3.440 Å, intensity 45, (0 0 2)
31.03 deg, 2.882 Å, intensity 100, (1 1 1)
40.18 deg, 2.245 Å, intensity 28, (2 0 0)
48.42 deg, 1.880 Å, intensity 32, (2 0 2)
49.00 deg, 1.859 Å, intensity 28, (1 1 3)
58.12 deg, 1.587 Å, intensity 9, (2 2 0)
64.68 deg, 1.441 Å, intensity 13, (2 2 2)
67.35 deg, 1.390 Å, intensity 22, (3 1 1)
68.76 deg, 1.365 Å, intensity 11, (2 0 4)
79.39 deg, 1.207 Å, intensity 14, (3 1 3)

Cell and atoms:
Cell: 4.4891 4.4891 6.8797 Å, 90.00 90.00 90.00°
Space group P4/mmm (No. 123)
Asymmetric unit:
Te (0.0000, 0.5000, 0.0000) (multiplicity 2)
W (0.0000, 0.0000, 0.5000) (multiplicity 1)
I (0.5000, 0.5000, 0.5000) (multiplicity 1)
O (0.5000, 0.5000, 0.0000) (multiplicity 1)